# 1
Simulated X-ray powder pattern of YGe2SbO8 for Cu Kα (weighted mean of Kα1 and Kα2), from DFT lattice parameters and positions (GGA-PBE).

The 10 most intense peaks (2θ from 5° to 70°), sorted by position:
2theta  I (rel.)  index
19.07  8.4  1 0 1
25.78  100.0  2 0 0
33.88  67.7  1 1 2
36.78  19.5  2 2 0
41.75  5.6  3 0 1
50.86  60.7  3 1 2
53.00  15.5  4 0 0
59.84  12.8  4 2 0
64.40  18.7  3 3 2
65.13  12.7  2 0 4

Structure:
a = 6.912 Å, b = 6.912 Å, c = 6.295 Å
α = 90.00°, β = 90.00°, γ = 90.00°
Space group I-4m2 (No. 119)
Inequivalent atoms, fractional coordinates:
Y: 0.000 0.000 0.000 x2
Ge: 0.000 0.000 0.500 x2
Ge: 0.000 0.500 0.750 x2
Sb: 0.000 0.500 0.250 x2
O: 0.000 0.193 0.313 x8
O: 0.000 0.324 0.954 x8

# 2
Simulated X-ray powder pattern of ThScGe2O8 for Cu Kα (weighted mean of Kα1 and Kα2), from DFT lattice parameters and positions (GGA-PBE).

The 10 most intense peaks (2θ from 5° to 70°), sorted by position:
2theta  I (rel.)  index
17.89  32.6  1 1 0
18.56  44.8  1 0 1
25.40  100.0  2 0 0
31.64  21.0  2 1 1
32.82  77.4  1 1 2
36.23  22.0  2 2 0
37.62  14.7  2 0 2
49.68  64.0  3 1 2
52.17  15.9  4 0 0
63.02  18.9  3 3 2

Structure:
a = 7.013 Å, b = 7.013 Å, c = 6.537 Å
α = 90.00°, β = 90.00°, γ = 90.00°
Space group I-4m2 (No. 119)
Inequivalent atoms, fractional coordinates:
Th: 0.000 0.000 0.000 x2
Sc: 0.000 0.500 0.250 x2
Ge: 0.000 0.000 0.500 x2
Ge: 0.000 0.500 0.750 x2
O: 0.000 0.192 0.321 x8
O: 0.000 0.322 0.940 x8

# 3
Simulated X-ray powder pattern of SrGeSe2O8 for Cu Kα (weighted mean of Kα1 and Kα2), from DFT lattice parameters and positions (GGA-PBE).

The 10 most intense peaks (2θ from 5° to 70°), sorted by position:
2theta  I (rel.)  index
14.85  14.3  0 0 1
25.27  100.0  1 1 1
27.49  17.3  2 0 1
29.45  36.8  2 0 -2
30.87  42.5  0 2 0
31.00  79.0  3 1 -1
39.35  13.1  3 1 1
43.19  26.5  2 2 -2
46.13  21.7  1 1 -3
54.98  17.0  3 3 -1

Structure:
a = 10.201 Å, b = 5.793 Å, c = 6.336 Å
α = 90.00°, β = 109.69°, γ = 90.00°
Space group C2/m (No. 12)
Inequivalent atoms, fractional coordinates:
Sr: 0.000 0.000 0.000 x2
Ge: 0.000 0.500 0.500 x2
Se: 0.207 0.000 0.673 x4
O: 0.119 0.500 0.217 x4
O: 0.136 0.228 0.763 x8
O: 0.162 0.000 0.397 x4

# 4
Simulated X-ray powder pattern of Si2GeO for Cu Kα (weighted mean of Kα1 and Kα2), from DFT lattice parameters and positions (GGA-PBE).

The 10 most intense peaks (2θ from 5° to 70°), sorted by position:
2theta  I (rel.)  index
20.92  12.6  1 0 1
29.61  38.3  1 0 3
31.57  100.0  1 1 2
39.77  7.7  2 0 0
42.27  14.7  1 0 5
45.35  29.1  2 1 1
50.28  46.1  2 0 4
53.62  20.5  1 1 6
57.50  8.9  2 2 0
67.09  16.2  3 1 2

Structure:
a = 4.533 Å, b = 4.533 Å, c = 12.123 Å
α = 90.00°, β = 90.00°, γ = 90.00°
Space group I-42d (No. 122)
Inequivalent atoms, fractional coordinates:
Si: 0.146 0.250 0.125 x8
Ge: 0.000 0.000 0.500 x4
O: 0.000 0.000 0.000 x4

# 5
Simulated X-ray powder pattern of SmGe2O6 for Cu Kα (weighted mean of Kα1 and Kα2), from DFT lattice parameters and positions (GGA-PBE).

The 10 most intense peaks (2θ from 5° to 70°), sorted by position:
2theta  I (rel.)  index
12.17  68.2  1 1 0
17.93  36.7  0 2 0
18.25  87.8  1 1 -1
21.82  20.4  1 1 1
26.52  57.5  3 1 0
26.76  100.0  2 2 -1
31.76  55.5  2 2 1
32.20  31.4  0 0 2
36.39  23.9  3 1 -2
36.65  26.9  1 1 2

Structure:
a = 11.126 Å, b = 9.893 Å, c = 5.770 Å
α = 90.00°, β = 105.52°, γ = 90.00°
Space group C2/c (No. 15)
Inequivalent atoms, fractional coordinates:
Sm: 0.000 0.120 0.250 x4
Ge: 0.220 0.431 0.297 x8
O: 0.117 0.044 0.621 x8
O: 0.149 0.478 0.994 x8
O: 0.178 0.259 0.310 x8

# 6
Simulated X-ray powder pattern of Sm2Ge2O7 for Cu Kα (weighted mean of Kα1 and Kα2), from DFT lattice parameters and positions (GGA-PBE).

The 10 most intense peaks (2θ from 5° to 70°), sorted by position:
2theta  I (rel.)  index
14.45  33.9  1 0 1
26.44  83.7  2 0 1
27.97  82.4  0 0 4
28.55  29.7  2 1 0
29.41  44.4  2 1 1
31.87  100.0  2 1 2
33.17  39.5  2 0 3
47.42  43.1  3 2 1
52.01  36.2  2 1 6
60.39  25.2  4 0 4

Structure:
a = 6.991 Å, b = 6.991 Å, c = 12.758 Å
α = 90.00°, β = 90.00°, γ = 90.00°
Space group P4_12_12 (No. 92)
Inequivalent atoms, fractional coordinates:
Sm: 0.122 0.348 0.116 x8
Ge: 0.098 0.155 0.628 x8
O: 0.025 0.076 0.876 x8
O: 0.062 0.663 0.177 x8
O: 0.143 0.309 0.297 x8
O: 0.197 0.197 0.500 x4